Starting from the GGA+U geometry in the Materials Project, the X-ray powder pattern of Fe2CoO6 was computed for Cu Kα X-rays.
Lines closer than 0.1° are merged.

Atomic structure:
```
Fe2CoO6
1.0
4.4836 0.0000 0.0000
0.0000 4.4836 0.0000
0.0000 0.0000 8.9474
Fe Co O
4 2 12
Direct
0.0000 0.0000 0.1664
0.0000 0.0000 0.8336
0.5000 0.5000 0.3336
0.5000 0.5000 0.6664
0.0000 0.0000 0.5000
0.5000 0.5000 0.0000
0.1895 0.1895 0.3369
0.1895 0.1895 0.6631
0.2029 0.2029 0.0000
0.2971 0.7029 0.5000
0.3105 0.6895 0.1631
0.3105 0.6895 0.8369
0.6895 0.3105 0.1631
0.6895 0.3105 0.8369
0.7029 0.2971 0.5000
0.7971 0.7971 0.0000
0.8105 0.8105 0.3369
0.8105 0.8105 0.6631
```

Peak list (12 most intense, 2θ from 15° to 90°, sorted by position)
| 2theta | d_spacing | I/Imax |
| --- | --- | --- |
| 28.15 | 3.170 | 100.0 |
| 36.17 | 2.483 | 57.7 |
| 40.23 | 2.242 | 11.3 |
| 41.57 | 2.172 | 12.6 |
| 45.22 | 2.005 | 4.4 |
| 55.20 | 1.664 | 59.9 |
| 58.20 | 1.585 | 16.1 |
| 62.26 | 1.491 | 8.4 |
| 65.88 | 1.418 | 9.9 |
| 69.68 | 1.349 | 12.2 |
| 70.48 | 1.336 | 20.1 |
| 84.39 | 1.148 | 6.7 |

Starting from the GGA+U geometry in the Materials Project, the X-ray powder pattern of Mn3Fe3P4O16 was computed for Cu Kα X-rays.
Lines closer than 0.1° are merged.

Atomic structure:
```
Mn3Fe3P4O16
1.0
6.3403 0.0000 0.0000
0.0000 11.4791 0.0000
-1.4407 0.0000 8.8334
Mn Fe P O
6 6 8 32
Direct
0.0796 0.0000 0.2202
0.4029 0.5447 0.5613
0.4166 0.8575 0.7732
0.5834 0.3575 0.2268
0.5971 0.0447 0.4387
0.9204 0.5000 0.7798
0.1129 0.3158 0.4289
0.1382 0.6261 0.1329
0.3628 0.2340 0.8657
0.6372 0.7340 0.1343
0.8618 0.1261 0.8671
0.8871 0.8158 0.5711
0.0572 0.3444 0.1073
0.1304 0.0696 0.5917
0.3707 0.7905 0.4078
0.4433 0.5153 0.8929
0.5567 0.0153 0.1071
0.6293 0.2905 0.5922
0.8696 0.5696 0.4083
0.9428 0.8444 0.8927
0.0162 0.4686 0.0368
0.0716 0.2546 0.9803
0.0768 0.4939 0.4297
0.1154 0.1517 0.7286
0.1165 0.8082 0.7980
0.1322 0.1408 0.4442
0.1662 0.8636 0.3699
0.2367 0.5170 0.7739
0.2641 0.3440 0.2272
0.3395 0.9988 0.6238
0.3664 0.7243 0.5583
0.3815 0.0524 0.2004
0.3839 0.7037 0.2747
0.4178 0.3623 0.5744
0.4298 0.6045 0.0211
0.4845 0.3907 0.9631
0.5155 0.8907 0.0369
0.5702 0.1045 0.9789
0.5822 0.8623 0.4256
0.6161 0.2037 0.7253
0.6185 0.5524 0.7996
0.6336 0.2243 0.4417
0.6605 0.4988 0.3762
0.7359 0.8440 0.7728
0.7633 0.0170 0.2261
0.8338 0.3636 0.6301
0.8678 0.6408 0.5558
0.8835 0.3082 0.2020
0.8846 0.6517 0.2714
0.9232 0.9939 0.5703
0.9284 0.7546 0.0197
0.9838 0.9686 0.9632
```

Peak list (12 most intense, 2θ from 15° to 90°, sorted by position)
| 2theta | d_spacing | I/Imax |
| --- | --- | --- |
| 25.37 | 3.511 | 100.0 |
| 28.69 | 3.111 | 34.3 |
| 29.75 | 3.003 | 39.4 |
| 29.97 | 2.982 | 39.5 |
| 30.82 | 2.901 | 65.4 |
| 30.92 | 2.892 | 34.6 |
| 31.17 | 2.870 | 19.5 |
| 32.40 | 2.763 | 63.6 |
| 32.79 | 2.731 | 29.1 |
| 36.60 | 2.455 | 26.0 |
| 49.83 | 1.830 | 16.3 |
| 52.44 | 1.745 | 17.3 |

Starting from the GGA+U geometry in the Materials Project, the X-ray powder pattern of Sr2VCO3F5 was computed for Cu Kα X-rays.
Lines closer than 0.1° are merged.

Atomic structure:
```
Sr2VCO3F5
1.0
5.6193 0.0000 0.0000
0.0000 8.9615 0.0000
-3.6081 0.0000 13.4582
Sr V C O F
8 4 4 12 20
Direct
0.1921 0.1431 0.4134
0.1921 0.3569 0.9134
0.1932 0.6070 0.4050
0.1932 0.8930 0.9050
0.8068 0.1070 0.0950
0.8068 0.3930 0.5950
0.8079 0.6431 0.0866
0.8079 0.8569 0.5866
0.3025 0.1281 0.6701
0.3025 0.3719 0.1701
0.6975 0.6281 0.8299
0.6975 0.8719 0.3299
0.3178 0.6242 0.6363
0.3178 0.8758 0.1363
0.6822 0.1242 0.8637
0.6822 0.3758 0.3637
0.0879 0.6202 0.5833
0.0879 0.8798 0.0833
0.3615 0.6294 0.7316
0.3615 0.8706 0.2316
0.4921 0.6227 0.5902
0.4921 0.8773 0.0902
0.5079 0.1227 0.9098
0.5079 0.3773 0.4098
0.6385 0.1294 0.7684
0.6385 0.3706 0.2684
0.9121 0.1202 0.9167
0.9121 0.3798 0.4167
0.0304 0.6288 0.9349
0.0304 0.8712 0.4349
0.1654 0.2168 0.2365
0.1654 0.2832 0.7365
0.1701 0.5379 0.2286
0.1701 0.9621 0.7286
0.3967 0.2176 0.0857
0.3967 0.2824 0.5857
0.4218 0.5126 0.0858
0.4218 0.9874 0.5858
0.5782 0.0126 0.4142
0.5782 0.4874 0.9142
0.6033 0.7176 0.4143
0.6033 0.7824 0.9143
0.8299 0.0379 0.2714
0.8299 0.4621 0.7714
0.8346 0.7168 0.2635
0.8346 0.7832 0.7635
0.9696 0.1288 0.5651
0.9696 0.3712 0.0651
```

Peak list (12 most intense, 2θ from 15° to 90°, sorted by position)
| 2theta | d_spacing | I/Imax |
| --- | --- | --- |
| 25.54 | 3.488 | 100.0 |
| 26.49 | 3.365 | 17.2 |
| 27.33 | 3.263 | 23.2 |
| 27.69 | 3.221 | 17.6 |
| 28.15 | 3.170 | 23.3 |
| 34.82 | 2.577 | 14.2 |
| 38.87 | 2.317 | 22.4 |
| 40.23 | 2.242 | 32.7 |
| 45.60 | 1.989 | 25.8 |
| 47.95 | 1.897 | 11.4 |
| 49.34 | 1.847 | 17.1 |
| 53.39 | 1.716 | 13.5 |

Starting from the GGA+U geometry in the Materials Project, the X-ray powder pattern of Li3Fe2P2C2O14 was computed for Cu Kα X-rays.
Lines closer than 0.1° are merged.

Atomic structure:
```
Li3Fe2P2C2O14
1.0
5.1419 0.0000 0.0000
0.7440 8.3517 0.0000
0.0144 0.2036 12.9679
Li Fe P C O
6 4 4 4 28
Direct
0.2243 0.3913 0.3765
0.2424 0.3991 0.8818
0.2472 0.7858 0.2293
0.7528 0.2142 0.7707
0.7576 0.6009 0.1182
0.7757 0.6087 0.6235
0.1974 0.1656 0.6207
0.2000 0.1720 0.1242
0.8000 0.8280 0.8758
0.8026 0.8344 0.3793
0.2705 0.0774 0.8740
0.2757 0.0787 0.3712
0.7243 0.9213 0.6288
0.7295 0.9226 0.1260
0.2922 0.4635 0.1301
0.3003 0.4545 0.6277
0.6997 0.5455 0.3723
0.7078 0.5365 0.8699
0.0497 0.4304 0.1250
0.0547 0.4251 0.6226
0.1273 0.9253 0.8794
0.1352 0.9232 0.3624
0.1664 0.1940 0.7842
0.1970 0.1808 0.4669
0.2079 0.1962 0.2799
0.2259 0.1856 0.9697
0.3669 0.6027 0.1438
0.3849 0.5897 0.6256
0.4287 0.9756 0.6275
0.4308 0.9669 0.1421
0.4646 0.3416 0.1206
0.4657 0.3252 0.6338
0.5343 0.6748 0.3662
0.5354 0.6584 0.8794
0.5692 0.0331 0.8579
0.5713 0.0244 0.3725
0.6151 0.4103 0.3744
0.6331 0.3973 0.8562
0.7741 0.8144 0.0303
0.7921 0.8038 0.7201
0.8030 0.8192 0.5331
0.8336 0.8060 0.2158
0.8648 0.0768 0.6376
0.8727 0.0747 0.1206
0.9453 0.5749 0.3774
0.9503 0.5696 0.8750
```

Peak list (12 most intense, 2θ from 15° to 90°, sorted by position)
| 2theta | d_spacing | I/Imax |
| --- | --- | --- |
| 17.18 | 5.161 | 19.6 |
| 17.45 | 5.083 | 18.4 |
| 19.51 | 4.549 | 54.9 |
| 21.14 | 4.203 | 73.3 |
| 22.12 | 4.019 | 15.6 |
| 25.35 | 3.514 | 15.8 |
| 26.32 | 3.387 | 35.0 |
| 27.51 | 3.242 | 100.0 |
| 32.14 | 2.785 | 16.2 |
| 35.06 | 2.560 | 17.4 |
| 35.75 | 2.512 | 19.1 |
| 56.78 | 1.621 | 13.2 |

Starting from the GGA+U geometry in the Materials Project, the X-ray powder pattern of Ba2MnCuP4O14 was computed for Cu Kα X-rays.
Lines closer than 0.1° are merged.

Atomic structure:
```
Ba2MnCuP4O14
1.0
7.5526 0.0000 0.0000
2.1468 9.0570 0.0000
1.2995 3.0074 8.8715
Ba Mn Cu P O
4 2 2 8 28
Direct
0.0000 0.0000 0.0000
0.0000 0.5000 0.5000
0.4471 0.1428 0.7229
0.4472 0.6428 0.2229
0.6065 0.3724 0.9658
0.6070 0.8723 0.4658
0.8681 0.7774 0.7583
0.8690 0.2771 0.2583
0.0350 0.4200 0.9182
0.0352 0.9199 0.4183
0.4058 0.2344 0.3030
0.4058 0.7344 0.8030
0.4904 0.0309 0.1140
0.4904 0.5310 0.6140
0.9564 0.1141 0.6030
0.9563 0.6141 0.1029
0.0637 0.1806 0.6818
0.0637 0.6807 0.1817
0.1008 0.0037 0.5212
0.1007 0.5038 0.0211
0.1978 0.3164 0.8712
0.1980 0.8162 0.3713
0.2315 0.3359 0.3394
0.2316 0.8360 0.8393
0.3528 0.1448 0.1966
0.3528 0.6449 0.6966
0.3709 0.4699 0.5388
0.3709 0.9699 0.0388
0.4910 0.1058 0.4414
0.4909 0.6058 0.9414
0.5493 0.3295 0.2063
0.5494 0.8295 0.7063
0.6033 0.3985 0.7340
0.6034 0.8985 0.2340
0.6141 0.1312 0.9959
0.6141 0.6312 0.4959
0.8341 0.0082 0.7182
0.8342 0.5080 0.2182
0.8442 0.2443 0.4786
0.8440 0.7443 0.9786
0.8924 0.3243 0.0242
0.8924 0.8242 0.5242
0.9370 0.0516 0.2858
0.9368 0.5517 0.7858
```

Peak list (12 most intense, 2θ from 15° to 90°, sorted by position)
| 2theta | d_spacing | I/Imax |
| --- | --- | --- |
| 19.66 | 4.516 | 35.0 |
| 22.75 | 3.908 | 39.3 |
| 24.12 | 3.690 | 39.9 |
| 24.27 | 3.667 | 100.0 |
| 28.60 | 3.121 | 47.6 |
| 28.74 | 3.106 | 71.5 |
| 29.47 | 3.031 | 87.9 |
| 29.59 | 3.019 | 83.5 |
| 30.63 | 2.919 | 43.5 |
| 33.40 | 2.683 | 55.7 |
| 35.97 | 2.497 | 35.0 |
| 43.41 | 2.084 | 35.6 |

Starting from the GGA+U geometry in the Materials Project, the X-ray powder pattern of MgV4O5F7 was computed for Cu Kα X-rays.
Lines closer than 0.1° are merged.

Atomic structure:
```
MgV4O5F7
1.0
5.2120 0.0000 0.0000
2.4381 4.7986 0.0000
0.0826 2.8608 8.6127
Mg V O F
1 4 5 7
Direct
0.0000 0.0000 0.0000
0.2445 0.5950 0.4023
0.4600 0.0746 0.1543
0.6276 0.6355 0.8979
0.9832 0.1186 0.6293
0.0546 0.3424 0.4871
0.3734 0.8365 0.7346
0.3937 0.8571 0.3227
0.4333 0.8470 0.0301
0.5713 0.3083 0.9963
0.0367 0.3318 0.0703
0.4528 0.3378 0.2810
0.5595 0.3264 0.5854
0.8800 0.8449 0.8514
0.9141 0.8248 0.2098
0.9355 0.3184 0.7914
0.9909 0.8417 0.5292
```

Peak list (12 most intense, 2θ from 15° to 90°, sorted by position)
| 2theta | d_spacing | I/Imax |
| --- | --- | --- |
| 23.16 | 3.840 | 100.0 |
| 23.54 | 3.780 | 98.6 |
| 24.06 | 3.699 | 99.1 |
| 32.36 | 2.767 | 20.3 |
| 32.82 | 2.729 | 24.5 |
| 33.39 | 2.684 | 22.8 |
| 34.44 | 2.604 | 23.1 |
| 39.16 | 2.300 | 21.6 |
| 47.35 | 1.920 | 21.8 |
| 48.15 | 1.890 | 24.4 |
| 49.26 | 1.850 | 20.7 |
| 61.30 | 1.512 | 25.6 |

Starting from the GGA+U geometry in the Materials Project, the X-ray powder pattern of LiTi3VP6O24 was computed for Cu Kα X-rays.
Lines closer than 0.1° are merged.

Atomic structure:
```
LiTi3VP6O24
1.0
4.3016 2.4835 7.2307
-4.3016 2.4835 7.2307
0.0000 -4.9670 7.2307
Li Ti V P O
1 3 1 6 24
Direct
0.0000 0.0000 0.0000
0.3623 0.3623 0.3623
0.6405 0.6405 0.6405
0.8566 0.8566 0.8566
0.1461 0.1461 0.1461
0.0345 0.7549 0.4626
0.2506 0.5382 0.9688
0.4626 0.0345 0.7549
0.5382 0.9688 0.2506
0.7549 0.4626 0.0345
0.9688 0.2506 0.5382
0.0043 0.2121 0.3639
0.0046 0.7900 0.6324
0.0641 0.9302 0.2767
0.0781 0.7215 0.9423
0.1405 0.2818 0.5045
0.2121 0.3639 0.0043
0.2164 0.5837 0.4351
0.2767 0.0641 0.9302
0.2818 0.5045 0.1405
0.3639 0.0043 0.2121
0.4243 0.5561 0.7880
0.4351 0.2164 0.5837
0.4912 0.8618 0.7276
0.5045 0.1405 0.2818
0.5561 0.7880 0.4243
0.5837 0.4351 0.2164
0.6324 0.0046 0.7900
0.7215 0.9423 0.0781
0.7276 0.4912 0.8618
0.7880 0.4243 0.5561
0.7900 0.6324 0.0046
0.8618 0.7276 0.4912
0.9302 0.2767 0.0641
0.9423 0.0781 0.7215
```

Peak list (12 most intense, 2θ from 15° to 90°, sorted by position)
| 2theta | d_spacing | I/Imax |
| --- | --- | --- |
| 20.25 | 4.385 | 42.5 |
| 20.65 | 4.302 | 21.3 |
| 24.07 | 3.697 | 100.0 |
| 29.08 | 3.071 | 36.5 |
| 32.05 | 2.793 | 15.2 |
| 32.35 | 2.768 | 26.6 |
| 36.17 | 2.484 | 10.7 |
| 46.49 | 1.953 | 10.9 |
| 49.30 | 1.848 | 9.8 |
| 53.30 | 1.719 | 15.9 |
| 56.61 | 1.626 | 9.8 |
| 62.02 | 1.496 | 8.8 |